Entry 1:
Starting from the PBE geometry in Alexandria, the X-ray powder pattern of Cd8Hg3Pd2 was calculated for copper Kα.
Peak positions follow from Bragg's law for the DFT cell and can differ from measured ones.

Largest 10 diffraction maxima, by angle, 2θ from 15° to 90°:
21.86°, 4.066 Å, intensity 14.4; 30.32°, 2.948 Å, intensity 23.0; 31.47°, 2.843 Å, intensity 40.5; 36.97°, 2.431 Å, intensity 48.4; 37.65°, 2.389 Å, intensity 100.0; 38.26°, 2.353 Å, intensity 66.7; 40.97°, 2.203 Å, intensity 20.7; 49.32°, 1.848 Å, intensity 23.2; 65.87°, 1.418 Å, intensity 21.2; 67.07°, 1.395 Å, intensity 17.8

Structural model:
```
data_Cd8Hg3Pd2
_chemical_formula_sum 'Cd8 Hg3 Pd2'
_cell_length_a 8.298
_cell_length_b 8.298
_cell_length_c 4.863
_cell_angle_alpha 90.00
_cell_angle_beta 90.00
_cell_angle_gamma 116.71
_symmetry_space_group_name_H-M 'P 1'
_symmetry_Int_Tables_number 1
_symmetry_space_group_name_Hall 'P 1'
loop_
_atom_site_label
_atom_site_type_symbol
_atom_site_fract_x
_atom_site_fract_y
_atom_site_fract_z
Cd1 Cd 0.118 0.882 0.000
Cd2 Cd 0.158 0.427 0.500
Cd3 Cd 0.321 0.679 0.000
Cd4 Cd 0.427 0.158 0.500
Cd5 Cd 0.573 0.842 0.500
Cd6 Cd 0.679 0.321 0.000
Cd7 Cd 0.842 0.573 0.500
Cd8 Cd 0.882 0.118 0.000
Hg1 Hg 0.000 0.000 0.500
Hg2 Hg 0.312 0.312 0.000
Hg3 Hg 0.688 0.688 0.000
Pd1 Pd 0.215 0.785 0.500
Pd2 Pd 0.785 0.215 0.500
```


Entry 2:
Starting from the PBE geometry in Alexandria, the X-ray powder pattern of Cd3HgPd7 was calculated for copper Kα.
Peak positions follow from Bragg's law for the DFT cell and can differ from measured ones.

Largest 10 diffraction maxima, by angle, 2θ from 15° to 90°:
21.60°, 4.115 Å, intensity 26.4; 28.76°, 3.104 Å, intensity 27.9; 34.54°, 2.597 Å, intensity 57.5; 38.05°, 2.365 Å, intensity 74.7; 38.98°, 2.310 Å, intensity 100.0; 39.16°, 2.300 Å, intensity 22.9; 42.33°, 2.135 Å, intensity 33.6; 43.30°, 2.090 Å, intensity 26.4; 43.75°, 2.069 Å, intensity 37.6; 52.32°, 1.749 Å, intensity 28.4

Structural model:
```
data_Cd3HgPd7
_chemical_formula_sum 'Cd3 Hg1 Pd7'
_cell_length_a 6.600
_cell_length_b 6.600
_cell_length_c 5.268
_cell_angle_alpha 106.95
_cell_angle_beta 106.95
_cell_angle_gamma 91.56
_symmetry_space_group_name_H-M 'P 1'
_symmetry_Int_Tables_number 1
_symmetry_space_group_name_Hall 'P 1'
loop_
_atom_site_label
_atom_site_type_symbol
_atom_site_fract_x
_atom_site_fract_y
_atom_site_fract_z
Cd1 Cd 0.000 0.000 0.000
Cd2 Cd 0.214 0.786 0.500
Cd3 Cd 0.786 0.214 0.500
Hg1 Hg 0.500 0.500 0.000
Pd1 Pd 0.071 0.581 0.822
Pd2 Pd 0.212 0.212 0.534
Pd3 Pd 0.419 0.929 0.178
Pd4 Pd 0.500 0.500 0.500
Pd5 Pd 0.581 0.071 0.822
Pd6 Pd 0.788 0.788 0.466
Pd7 Pd 0.929 0.419 0.178
```


Entry 3:
Starting from the PBE geometry in Alexandria, the X-ray powder pattern of Cd8Hg2Pd was calculated for copper Kα.
Peak positions follow from Bragg's law for the DFT cell and can differ from measured ones.

Largest 10 diffraction maxima, by angle, 2θ from 15° to 90°:
33.45°, 2.679 Å, intensity 100.0; 36.84°, 2.440 Å, intensity 81.0; 40.02°, 2.253 Å, intensity 30.1; 40.41°, 2.232 Å, intensity 29.7; 42.09°, 2.147 Å, intensity 28.4; 53.45°, 1.714 Å, intensity 10.8; 59.48°, 1.554 Å, intensity 18.4; 59.77°, 1.547 Å, intensity 18.3; 66.41°, 1.408 Å, intensity 10.9; 66.96°, 1.397 Å, intensity 10.9

Structural model:
```
data_Cd8Hg2Pd
_chemical_formula_sum 'Cd8 Hg2 Pd1'
_cell_length_a 8.946
_cell_length_b 8.946
_cell_length_c 6.877
_cell_angle_alpha 109.98
_cell_angle_beta 109.98
_cell_angle_gamma 27.77
_symmetry_space_group_name_H-M 'P 1'
_symmetry_Int_Tables_number 1
_symmetry_space_group_name_Hall 'P 1'
loop_
_atom_site_label
_atom_site_type_symbol
_atom_site_fract_x
_atom_site_fract_y
_atom_site_fract_z
Cd1 Cd 0.036 0.036 0.235
Cd2 Cd 0.129 0.129 0.682
Cd3 Cd 0.329 0.329 0.588
Cd4 Cd 0.411 0.411 0.051
Cd5 Cd 0.589 0.589 0.949
Cd6 Cd 0.671 0.671 0.412
Cd7 Cd 0.871 0.871 0.318
Cd8 Cd 0.964 0.964 0.765
Hg1 Hg 0.224 0.224 0.145
Hg2 Hg 0.776 0.776 0.855
Pd1 Pd 0.500 0.500 0.500
```


Entry 4:
Starting from the PBE geometry in Alexandria, the X-ray powder pattern of CdHg2Pd5 was calculated for copper Kα.
Peak positions follow from Bragg's law for the DFT cell and can differ from measured ones.

Largest 10 diffraction maxima, by angle, 2θ from 15° to 90°:
38.28°, 2.351 Å, intensity 100.0; 41.72°, 2.165 Å, intensity 19.6; 41.92°, 2.155 Å, intensity 19.4; 49.50°, 1.841 Å, intensity 11.9; 60.63°, 1.527 Å, intensity 12.9; 66.68°, 1.403 Å, intensity 9.6; 73.87°, 1.283 Å, intensity 14.3; 74.15°, 1.279 Å, intensity 14.2; 81.96°, 1.176 Å, intensity 11.0; 85.20°, 1.139 Å, intensity 10.4

Structural model:
```
data_CdHg2Pd5
_chemical_formula_sum 'Cd1 Hg2 Pd5'
_cell_length_a 5.684
_cell_length_b 5.669
_cell_length_c 6.110
_cell_angle_alpha 57.56
_cell_angle_beta 57.32
_cell_angle_gamma 65.11
_symmetry_space_group_name_H-M 'P 1'
_symmetry_Int_Tables_number 1
_symmetry_space_group_name_Hall 'P 1'
loop_
_atom_site_label
_atom_site_type_symbol
_atom_site_fract_x
_atom_site_fract_y
_atom_site_fract_z
Cd1 Cd 0.000 0.000 0.000
Hg1 Hg 0.001 0.001 0.499
Hg2 Hg 0.501 0.501 0.999
Pd1 Pd 0.001 0.500 0.500
Pd2 Pd 0.001 0.500 0.999
Pd3 Pd 0.500 0.001 0.500
Pd4 Pd 0.500 0.001 0.999
Pd5 Pd 0.501 0.501 0.499
```


Entry 5:
Starting from the PBE geometry in Alexandria, the X-ray powder pattern of Cd8Hg2Pd3 was calculated for copper Kα.
Peak positions follow from Bragg's law for the DFT cell and can differ from measured ones.

Largest 10 diffraction maxima, by angle, 2θ from 15° to 90°:
31.75°, 2.818 Å, intensity 65.0; 32.95°, 2.718 Å, intensity 52.5; 36.95°, 2.433 Å, intensity 100.0; 37.30°, 2.411 Å, intensity 72.7; 39.71°, 2.270 Å, intensity 53.3; 41.47°, 2.177 Å, intensity 27.3; 42.33°, 2.135 Å, intensity 50.3; 56.22°, 1.636 Å, intensity 28.9; 60.01°, 1.542 Å, intensity 48.5; 66.34°, 1.409 Å, intensity 38.4

Structural model:
```
data_Cd8Hg2Pd3
_chemical_formula_sum 'Cd8 Hg2 Pd3'
_cell_length_a 10.792
_cell_length_b 10.792
_cell_length_c 10.792
_cell_angle_alpha 30.28
_cell_angle_beta 30.28
_cell_angle_gamma 30.28
_symmetry_space_group_name_H-M 'P 1'
_symmetry_Int_Tables_number 1
_symmetry_space_group_name_Hall 'P 1'
loop_
_atom_site_label
_atom_site_type_symbol
_atom_site_fract_x
_atom_site_fract_y
_atom_site_fract_z
Cd1 Cd 0.219 0.219 0.718
Cd2 Cd 0.219 0.718 0.219
Cd3 Cd 0.223 0.223 0.223
Cd4 Cd 0.282 0.781 0.781
Cd5 Cd 0.718 0.219 0.219
Cd6 Cd 0.777 0.777 0.777
Cd7 Cd 0.781 0.282 0.781
Cd8 Cd 0.781 0.781 0.282
Hg1 Hg 0.135 0.135 0.135
Hg2 Hg 0.865 0.865 0.865
Pd1 Pd 0.310 0.310 0.310
Pd2 Pd 0.500 0.500 0.500
Pd3 Pd 0.690 0.690 0.690
```


Entry 6:
Starting from the PBE geometry in Alexandria, the X-ray powder pattern of Cd4HgPd2 was calculated for copper Kα.
Peak positions follow from Bragg's law for the DFT cell and can differ from measured ones.

Largest 10 diffraction maxima, by angle, 2θ from 15° to 90°:
31.94°, 2.802 Å, intensity 41.3; 32.79°, 2.731 Å, intensity 57.8; 34.60°, 2.592 Å, intensity 51.5; 35.09°, 2.557 Å, intensity 51.9; 35.77°, 2.510 Å, intensity 51.7; 36.38°, 2.470 Å, intensity 52.5; 37.34°, 2.408 Å, intensity 100.0; 40.40°, 2.233 Å, intensity 45.1; 41.17°, 2.193 Å, intensity 46.0; 41.45°, 2.179 Å, intensity 80.2

Structural model:
```
data_Cd4HgPd2
_chemical_formula_sum 'Cd8 Hg2 Pd4'
_cell_length_a 7.430
_cell_length_b 5.605
_cell_length_c 7.545
_cell_angle_alpha 90.00
_cell_angle_beta 113.33
_cell_angle_gamma 90.00
_symmetry_space_group_name_H-M 'P 1'
_symmetry_Int_Tables_number 1
_symmetry_space_group_name_Hall 'P 1'
loop_
_atom_site_label
_atom_site_type_symbol
_atom_site_fract_x
_atom_site_fract_y
_atom_site_fract_z
Cd1 Cd 0.005 0.250 0.392
Cd2 Cd 0.218 0.750 0.351
Cd3 Cd 0.405 0.001 0.767
Cd4 Cd 0.405 0.499 0.767
Cd5 Cd 0.595 0.501 0.233
Cd6 Cd 0.595 0.999 0.233
Cd7 Cd 0.782 0.250 0.649
Cd8 Cd 0.995 0.750 0.608
Hg1 Hg 0.154 0.250 0.015
Hg2 Hg 0.846 0.750 0.985
Pd1 Pd 0.244 0.750 0.999
Pd2 Pd 0.383 0.250 0.429
Pd3 Pd 0.617 0.750 0.571
Pd4 Pd 0.756 0.250 0.001
```


Entry 7:
Starting from the PBE geometry in Alexandria, the X-ray powder pattern of Cd12Hg6Pd was calculated for copper Kα.
Peak positions follow from Bragg's law for the DFT cell and can differ from measured ones.

Largest 10 diffraction maxima, by angle, 2θ from 15° to 90°:
27.10°, 3.290 Å, intensity 28.4; 34.34°, 2.612 Å, intensity 100.0; 35.57°, 2.524 Å, intensity 37.0; 36.69°, 2.450 Å, intensity 73.9; 37.92°, 2.373 Å, intensity 25.8; 38.42°, 2.343 Å, intensity 34.9; 59.94°, 1.543 Å, intensity 15.0; 63.56°, 1.464 Å, intensity 16.7; 64.56°, 1.443 Å, intensity 16.9; 70.92°, 1.329 Å, intensity 13.3

Structural model:
```
data_Cd12Hg6Pd
_chemical_formula_sum 'Cd12 Hg6 Pd1'
_cell_length_a 7.611
_cell_length_b 7.611
_cell_length_c 7.611
_cell_angle_alpha 93.95
_cell_angle_beta 93.95
_cell_angle_gamma 93.95
_symmetry_space_group_name_H-M 'P 1'
_symmetry_Int_Tables_number 1
_symmetry_space_group_name_Hall 'P 1'
loop_
_atom_site_label
_atom_site_type_symbol
_atom_site_fract_x
_atom_site_fract_y
_atom_site_fract_z
Cd1 Cd 0.027 0.964 0.299
Cd2 Cd 0.036 0.701 0.973
Cd3 Cd 0.134 0.448 0.366
Cd4 Cd 0.299 0.027 0.964
Cd5 Cd 0.366 0.134 0.448
Cd6 Cd 0.448 0.366 0.134
Cd7 Cd 0.552 0.634 0.866
Cd8 Cd 0.634 0.866 0.552
Cd9 Cd 0.701 0.973 0.036
Cd10 Cd 0.866 0.552 0.634
Cd11 Cd 0.964 0.299 0.027
Cd12 Cd 0.973 0.036 0.701
Hg1 Hg 0.220 0.375 0.755
Hg2 Hg 0.245 0.780 0.625
Hg3 Hg 0.375 0.755 0.220
Hg4 Hg 0.625 0.245 0.780
Hg5 Hg 0.755 0.220 0.375
Hg6 Hg 0.780 0.625 0.245
Pd1 Pd 0.500 0.500 0.500
```


Entry 8:
Starting from the PBE geometry in Alexandria, the X-ray powder pattern of Cd2Hg2Pd3 was calculated for copper Kα.
Peak positions follow from Bragg's law for the DFT cell and can differ from measured ones.

Largest 10 diffraction maxima, by angle, 2θ from 15° to 90°:
22.64°, 3.928 Å, intensity 19.1; 27.49°, 3.245 Å, intensity 24.8; 36.04°, 2.492 Å, intensity 17.8; 38.99°, 2.310 Å, intensity 100.0; 39.16°, 2.300 Å, intensity 96.7; 39.23°, 2.296 Å, intensity 47.1; 39.42°, 2.286 Å, intensity 46.3; 56.75°, 1.622 Å, intensity 31.6; 70.80°, 1.331 Å, intensity 17.0; 70.97°, 1.328 Å, intensity 24.2

Structural model:
```
data_Cd2Hg2Pd3
_chemical_formula_sum 'Cd2 Hg2 Pd3'
_cell_length_a 4.605
_cell_length_b 4.619
_cell_length_c 7.914
_cell_angle_alpha 73.51
_cell_angle_beta 73.14
_cell_angle_gamma 60.14
_symmetry_space_group_name_H-M 'P 1'
_symmetry_Int_Tables_number 1
_symmetry_space_group_name_Hall 'P 1'
loop_
_atom_site_label
_atom_site_type_symbol
_atom_site_fract_x
_atom_site_fract_y
_atom_site_fract_z
Cd1 Cd 0.120 0.121 0.140
Cd2 Cd 0.880 0.879 0.860
Hg1 Hg 0.371 0.372 0.387
Hg2 Hg 0.629 0.628 0.613
Pd1 Pd 0.245 0.245 0.764
Pd2 Pd 0.500 0.500 0.000
Pd3 Pd 0.755 0.755 0.236
```


Entry 9:
Starting from the PBE geometry in Alexandria, the X-ray powder pattern of CdHgPd3Pt was calculated for copper Kα.
Peak positions follow from Bragg's law for the DFT cell and can differ from measured ones.

Largest 10 diffraction maxima, by angle, 2θ from 15° to 90°:
23.85°, 3.731 Å, intensity 9.0; 37.30°, 2.411 Å, intensity 31.8; 37.48°, 2.400 Å, intensity 31.5; 40.42°, 2.232 Å, intensity 100.0; 53.91°, 1.701 Å, intensity 21.8; 69.38°, 1.355 Å, intensity 19.9; 69.61°, 1.351 Å, intensity 19.9; 75.42°, 1.260 Å, intensity 7.5; 75.54°, 1.259 Å, intensity 7.5; 87.41°, 1.116 Å, intensity 10.5

Structural model:
```
data_CdHgPd3Pt
_chemical_formula_sum 'Cd2 Hg2 Pd6 Pt2'
_cell_length_a 9.498
_cell_length_b 9.498
_cell_length_c 4.821
_cell_angle_alpha 104.64
_cell_angle_beta 104.64
_cell_angle_gamma 29.27
_symmetry_space_group_name_H-M 'P 1'
_symmetry_Int_Tables_number 1
_symmetry_space_group_name_Hall 'P 1'
loop_
_atom_site_label
_atom_site_type_symbol
_atom_site_fract_x
_atom_site_fract_y
_atom_site_fract_z
Cd1 Cd 0.120 0.120 0.375
Cd2 Cd 0.880 0.880 0.625
Hg1 Hg 0.207 0.207 0.966
Hg2 Hg 0.793 0.793 0.034
Pd1 Pd 0.042 0.042 0.795
Pd2 Pd 0.296 0.296 0.552
Pd3 Pd 0.379 0.379 0.134
Pd4 Pd 0.621 0.621 0.866
Pd5 Pd 0.704 0.704 0.448
Pd6 Pd 0.958 0.958 0.205
Pt1 Pt 0.463 0.463 0.714
Pt2 Pt 0.537 0.537 0.286
```


Entry 10:
Starting from the PBE geometry in Alexandria, the X-ray powder pattern of ScCdHg2Pd2 was calculated for copper Kα.
Peak positions follow from Bragg's law for the DFT cell and can differ from measured ones.

Largest 10 diffraction maxima, by angle, 2θ from 15° to 90°:
23.24°, 3.827 Å, intensity 100.0; 31.51°, 2.839 Å, intensity 15.5; 38.54°, 2.336 Å, intensity 65.7; 40.48°, 2.228 Å, intensity 63.4; 41.14°, 2.194 Å, intensity 37.0; 47.20°, 1.926 Å, intensity 15.6; 57.13°, 1.612 Å, intensity 20.6; 59.08°, 1.564 Å, intensity 12.8; 72.34°, 1.306 Å, intensity 20.4; 74.07°, 1.280 Å, intensity 13.2

Structural model:
```
data_ScCdHg2Pd2
_chemical_formula_sum 'Sc1 Cd1 Hg2 Pd2'
_cell_length_a 10.113
_cell_length_b 10.113
_cell_length_c 10.113
_cell_angle_alpha 25.46
_cell_angle_beta 25.46
_cell_angle_gamma 25.46
_symmetry_space_group_name_H-M 'P 1'
_symmetry_Int_Tables_number 1
_symmetry_space_group_name_Hall 'P 1'
loop_
_atom_site_label
_atom_site_type_symbol
_atom_site_fract_x
_atom_site_fract_y
_atom_site_fract_z
Sc1 Sc 0.000 0.000 0.000
Cd1 Cd 0.500 0.500 0.500
Hg1 Hg 0.405 0.405 0.405
Hg2 Hg 0.595 0.595 0.595
Pd1 Pd 0.306 0.306 0.306
Pd2 Pd 0.694 0.694 0.694
```


Entry 11:
Starting from the PBE geometry in Alexandria, the X-ray powder pattern of TmCdHg2Pd2 was calculated for copper Kα.
Peak positions follow from Bragg's law for the DFT cell and can differ from measured ones.

Largest 10 diffraction maxima, by angle, 2θ from 15° to 90°:
22.51°, 3.949 Å, intensity 60.6; 23.14°, 3.844 Å, intensity 30.1; 31.10°, 2.876 Å, intensity 35.2; 38.32°, 2.349 Å, intensity 100.0; 39.14°, 2.302 Å, intensity 98.1; 40.28°, 2.239 Å, intensity 24.5; 40.98°, 2.203 Å, intensity 20.3; 55.94°, 1.644 Å, intensity 33.3; 70.38°, 1.338 Å, intensity 33.5; 70.93°, 1.329 Å, intensity 17.0

Structural model:
```
data_TmCdHg2Pd2
_chemical_formula_sum 'Tm1 Cd1 Hg2 Pd2'
_cell_length_a 10.047
_cell_length_b 10.047
_cell_length_c 10.047
_cell_angle_alpha 26.48
_cell_angle_beta 26.48
_cell_angle_gamma 26.48
_symmetry_space_group_name_H-M 'P 1'
_symmetry_Int_Tables_number 1
_symmetry_space_group_name_Hall 'P 1'
loop_
_atom_site_label
_atom_site_type_symbol
_atom_site_fract_x
_atom_site_fract_y
_atom_site_fract_z
Tm1 Tm 0.000 0.000 0.000
Cd1 Cd 0.500 0.500 0.500
Hg1 Hg 0.404 0.404 0.404
Hg2 Hg 0.596 0.596 0.596
Pd1 Pd 0.303 0.303 0.303
Pd2 Pd 0.697 0.697 0.697
```


Entry 12:
Starting from the PBE geometry in Alexandria, the X-ray powder pattern of Zn2CdHg2Pd5 was calculated for copper Kα.
Peak positions follow from Bragg's law for the DFT cell and can differ from measured ones.

Largest 10 diffraction maxima, by angle, 2θ from 15° to 90°:
31.33°, 2.855 Å, intensity 36.7; 35.50°, 2.529 Å, intensity 10.2; 38.06°, 2.364 Å, intensity 100.0; 39.40°, 2.287 Å, intensity 36.1; 41.64°, 2.169 Å, intensity 22.0; 42.89°, 2.109 Å, intensity 16.1; 46.83°, 1.940 Å, intensity 23.1; 62.81°, 1.479 Å, intensity 18.3; 77.72°, 1.229 Å, intensity 11.7; 81.04°, 1.187 Å, intensity 10.9

Structural model:
```
data_Zn2CdHg2Pd5
_chemical_formula_sum 'Zn4 Cd2 Hg4 Pd10'
_cell_length_a 9.430
_cell_length_b 9.430
_cell_length_c 3.880
_cell_angle_alpha 90.00
_cell_angle_beta 90.00
_cell_angle_gamma 90.00
_symmetry_space_group_name_H-M 'P 1'
_symmetry_Int_Tables_number 1
_symmetry_space_group_name_Hall 'P 1'
loop_
_atom_site_label
_atom_site_type_symbol
_atom_site_fract_x
_atom_site_fract_y
_atom_site_fract_z
Zn1 Zn 0.127 0.373 0.000
Zn2 Zn 0.373 0.873 0.000
Zn3 Zn 0.627 0.127 0.000
Zn4 Zn 0.873 0.627 0.000
Cd1 Cd 0.000 0.000 0.000
Cd2 Cd 0.500 0.500 0.000
Hg1 Hg 0.169 0.669 0.000
Hg2 Hg 0.331 0.169 0.000
Hg3 Hg 0.669 0.831 0.000
Hg4 Hg 0.831 0.331 0.000
Pd1 Pd 0.000 0.500 0.500
Pd2 Pd 0.088 0.196 0.500
Pd3 Pd 0.196 0.912 0.500
Pd4 Pd 0.304 0.412 0.500
Pd5 Pd 0.412 0.696 0.500
Pd6 Pd 0.500 0.000 0.500
Pd7 Pd 0.588 0.304 0.500
Pd8 Pd 0.696 0.588 0.500
Pd9 Pd 0.804 0.088 0.500
Pd10 Pd 0.912 0.804 0.500
```